Diffraction record for Pr13Th3. The PXRD pattern is simulated, not measured: it uses DFT lattice parameters and positions (PBE) and Cu Ka.
Neutral-atom scattering factors, no anomalous dispersion.

Largest 6 diffraction maxima, most intense first, 2θ = 10–90°:
| two_theta | d_spacing | intensity |
| --- | --- | --- |
| 31.72 | 2.821 | 100 |
| 29.41 | 3.037 | 27 |
| 28.01 | 3.185 | 24 |
| 53.63 | 1.709 | 23 |
| 58.69 | 1.573 | 23 |
| 49.57 | 1.839 | 19 |

Atomic structure:
Cell: 7.352 8.805 8.805 Å, 87.24 90.00 90.00°
Positions (direct):
Pr (0.000, 0.000, 0.000)
Pr (0.000, 0.433, 0.923)
Pr (0.000, 0.516, 0.516)
Pr (0.000, 0.923, 0.433)
Pr (0.253, 0.171, 0.676)
Pr (0.253, 0.256, 0.256)
Pr (0.253, 0.676, 0.171)
Pr (0.500, 0.421, 0.924)
Pr (0.500, 0.519, 0.519)
Pr (0.500, 0.924, 0.421)
Pr (0.747, 0.171, 0.676)
Pr (0.747, 0.256, 0.256)
Pr (0.747, 0.676, 0.171)
Th (0.257, 0.763, 0.763)
Th (0.500, 0.999, 0.999)
Th (0.743, 0.763, 0.763)


Diffraction record for LiCdSi. The PXRD pattern is simulated, not measured: it uses DFT lattice parameters and positions (PBE) and Cu Ka.
Neutral-atom scattering factors, no anomalous dispersion.

Largest 6 diffraction maxima, most intense first, 2θ = 10–90°:
| two_theta | d_spacing | intensity |
| --- | --- | --- |
| 22.79 | 3.902 | 100 |
| 36.52 | 2.460 | 68 |
| 40.03 | 2.253 | 50 |
| 49.65 | 1.836 | 46 |
| 28.15 | 3.170 | 38 |
| 55.29 | 1.661 | 20 |

Atomic structure:
Cell: 4.505 4.505 3.170 Å, 90.00 90.00 120.00°
Positions (direct):
Li (0.000, 0.000, 0.000)
Cd (0.333, 0.667, 0.500)
Si (0.667, 0.333, 0.500)


Diffraction record for Tb3CePm8. The PXRD pattern is simulated, not measured: it uses DFT lattice parameters and positions (PBE) and Cu Ka.
Neutral-atom scattering factors, no anomalous dispersion.

Largest 6 diffraction maxima, most intense first, 2θ = 10–90°:
| two_theta | d_spacing | intensity |
| --- | --- | --- |
| 36.15 | 2.484 | 100 |
| 28.98 | 3.081 | 78 |
| 31.17 | 2.869 | 67 |
| 24.11 | 3.691 | 57 |
| 25.67 | 3.471 | 55 |
| 43.08 | 2.100 | 48 |

Atomic structure:
Cell: 8.421 8.421 8.421 Å, 117.67 117.67 94.08°
Positions (direct):
Tb (0.000, 0.000, 0.000)
Tb (0.250, 0.750, 0.500)
Tb (0.750, 0.250, 0.500)
Ce (0.500, 0.500, 0.000)
Pm (0.137, 0.137, 0.756)
Pm (0.243, 0.717, 0.000)
Pm (0.283, 0.283, 0.526)
Pm (0.381, 0.381, 0.244)
Pm (0.619, 0.863, 0.000)
Pm (0.717, 0.243, 0.000)
Pm (0.757, 0.757, 0.474)
Pm (0.863, 0.619, 0.000)